For SiAg, the PBE geometry in Alexandria gives the simulated XRD peak list in this record (Cu Kα, 1.54184 Å).

abc: 7.297 7.297 4.619
angles: 90.00 90.00 120.00
Fractional coordinates of all 12 atoms:
1 Si 0.104 0.616 0.250
2 Si 0.384 0.488 0.250
3 Si 0.488 0.104 0.750
4 Si 0.512 0.896 0.250
5 Si 0.616 0.512 0.750
6 Si 0.896 0.384 0.750
7 Ag 0.067 0.799 0.750
8 Ag 0.201 0.269 0.750
9 Ag 0.269 0.067 0.250
10 Ag 0.731 0.933 0.750
11 Ag 0.799 0.731 0.250
12 Ag 0.933 0.201 0.250

Peak list (12 most intense, 10 to 80 degrees two-theta, by intensity)
Position (°2θ)  intensity  hkl
42.61  100  1 2 1
14.01  57  1 0 0
34.39  44  2 0 1
39.00  31  0 0 2
31.24  31  1 1 1
37.66  23  1 2 0
24.40  20  1 1 0
73.12  19  1 2 3
55.33  14  1 2 2
52.19  14  3 1 0
67.98  14  4 1 0
67.03  13  3 1 2